(1)
Diffraction record for Pm2Dy8Ho3. The PXRD pattern is computed, not measured: it uses the GGA-PBE geometry in Alexandria and Cu Kα (λ = 1.5418 Å).
Peak positions follow from Bragg's law for the DFT cell and can differ from measured ones.

Crystal structure
a b c (Å): 7.602 20.595 5.550
angles (deg): 90.00 90.00 90.00
Space group Cmmm (No. 65)
Symmetry-distinct sites (fractional):
1 Pm 0.000 0.241 0.000 x4
2 Dy 0.000 0.130 0.500 x4
3 Dy 0.000 0.337 0.500 x4
4 Dy 0.212 0.394 0.000 x8
5 Ho 0.000 0.000 0.000 x2
6 Ho 0.214 0.500 0.500 x4

Top 10 peaks for 10 to 90 degrees two-theta, low angle first:
Position (°2θ)	I/Imax	h k l
24.97	17.7	2 2 0
29.45	27.7	1 5 1
30.62	30.5	0 6 1
32.26	37.9	0 0 2
33.46	100.0	2 4 1
34.85	13.0	0 8 0
41.22	12.3	2 2 2
48.22	10.5	0 8 2
54.00	9.5	3 9 0
58.29	20.4	2 4 3

(2)
Diffraction record for CeSi2Tc2H. The PXRD pattern is computed, not measured: it uses the GGA-PBE geometry in Alexandria and Cu Kα (λ = 1.5418 Å).
Peak positions follow from Bragg's law for the DFT cell and can differ from measured ones.

Crystal structure
a b c (Å): 4.129 4.129 5.161
angles (deg): 90.00 90.00 90.00
Space group P4/mmm (No. 123)
Symmetry-distinct sites (fractional):
1 Ce 0.000 0.000 0.000 x1
2 Si 0.500 0.500 0.232 x2
3 Tc 0.000 0.500 0.500 x2
4 H 0.000 0.000 0.500 x1

Top 10 peaks for 10 to 90 degrees two-theta, low angle first:
Position (°2θ)	I/Imax	h k l
27.66	27.3	1 0 1
34.76	17.9	0 0 2
35.32	100.0	1 1 1
41.25	20.8	1 0 2
43.85	35.9	2 0 0
57.13	16.9	2 0 2
61.77	12.4	2 1 2
62.68	15.9	1 1 3
63.74	11.6	2 2 0
75.03	21.6	3 1 1

(3)
Diffraction record for Ni8PdRh2. The PXRD pattern is computed, not measured: it uses the GGA-PBE geometry in Alexandria and Cu Kα (λ = 1.5418 Å).
Peak positions follow from Bragg's law for the DFT cell and can differ from measured ones.

Crystal structure
a b c (Å): 13.343 5.007 4.375
angles (deg): 90.00 109.03 90.00
Space group C2/m (No. 12)
Symmetry-distinct sites (fractional):
1 Ni 0.000 0.000 0.248 x4
2 Ni 0.133 0.262 0.634 x8
3 Ni 0.201 0.500 0.203 x4
4 Pd 0.000 0.500 0.000 x2
5 Rh 0.184 0.000 0.184 x4

Top 10 peaks for 10 to 90 degrees two-theta, low angle first:
Position (°2θ)	I/Imax	h k l
30.62	20.0	3 1 -1
35.87	16.2	0 2 0
39.56	16.7	3 1 1
41.30	100.0	2 0 -2
42.20	64.9	2 2 -1
43.03	25.0	6 0 0
43.80	15.6	0 0 2
46.30	39.4	4 2 0
47.08	45.2	2 2 1
50.43	23.5	1 1 2

(4)
Diffraction record for Sr3AgBi2. The PXRD pattern is computed, not measured: it uses the GGA-PBE geometry in Alexandria and Cu Kα (λ = 1.5418 Å).
Peak positions follow from Bragg's law for the DFT cell and can differ from measured ones.

Crystal structure
a b c (Å): 13.173 4.903 13.300
angles (deg): 90.00 90.00 90.00
Space group Pnma (No. 62)
Symmetry-distinct sites (fractional):
1 Sr 0.057 0.250 0.126 x4
2 Sr 0.128 0.750 0.556 x4
3 Sr 0.217 0.250 0.799 x4
4 Ag 0.131 0.250 0.367 x4
5 Bi 0.015 0.750 0.317 x4
6 Bi 0.187 0.750 0.996 x4

Top 10 peaks for 10 to 90 degrees two-theta, low angle first:
Position (°2θ)	I/Imax	h k l
18.96	61.0	2 0 2
21.14	55.4	1 0 3
26.33	66.2	2 1 2
27.12	66.8	0 1 3
27.95	62.2	1 1 3
30.45	100.0	3 1 2
33.46	76.2	4 1 1
35.35	57.3	2 1 4
35.50	57.2	4 1 2
36.66	83.0	0 2 0

(5)
Diffraction record for Ac4CuOsCl2. The PXRD pattern is computed, not measured: it uses the GGA-PBE geometry in Alexandria and Cu Kα (λ = 1.5418 Å).
Peak positions follow from Bragg's law for the DFT cell and can differ from measured ones.

Crystal structure
a b c (Å): 7.513 4.387 8.353
angles (deg): 90.00 107.48 90.00
Space group P2/m (No. 10)
Symmetry-distinct sites (fractional):
1 Ac 0.225 0.000 0.205 x2
2 Ac 0.253 0.500 0.795 x2
3 Cu 0.500 0.000 0.000 x1
4 Os 0.000 0.500 0.000 x1
5 Cl 0.000 0.000 0.500 x1
6 Cl 0.500 0.500 0.500 x1

Top 10 peaks for 10 to 90 degrees two-theta, low angle first:
Position (°2θ)	I/Imax	h k l
11.11	55.2	0 0 1
24.65	28.5	1 1 -1
27.89	100.0	1 1 1
28.05	48.2	2 0 -2
35.39	21.4	1 1 2
38.36	30.3	1 1 -3
41.15	21.0	0 2 0
41.52	37.3	3 1 -1
48.28	15.9	1 1 -4
50.54	19.3	2 2 -2

(6)
Diffraction record for RbDyAg2Cl6. The PXRD pattern is computed, not measured: it uses the GGA-PBE geometry in Alexandria and Cu Kα (λ = 1.5418 Å).
Peak positions follow from Bragg's law for the DFT cell and can differ from measured ones.

Crystal structure
a b c (Å): 7.1639 7.1639 19.5684
angles (deg): 90.00 90.00 120.00
Space group R3 (No. 146, hexagonal axes)
Symmetry-distinct sites (fractional):
1 Rb 0.0000 0.0000 0.0000 x3
2 Dy 0.0000 0.0000 0.4767 x3
3 Ag 0.0000 0.0000 0.2810 x3
4 Ag 0.0000 0.0000 0.7996 x3
5 Cl 0.0130 0.3420 0.2123 x9
6 Cl 0.0197 0.5903 0.0556 x9

Top 10 peaks for 10 to 90 degrees two-theta, low angle first:
Position (°2θ)	I/Imax	h k l
14.98	19.9	1 0 1
16.92	52.2	0 1 2
23.15	86.7	1 0 4
24.86	90.4	1 1 0
28.43	30.8	2 -1 3
34.23	41.5	0 2 4
37.29	100.0	2 -1 6
42.76	39.2	3 -1 4
43.77	51.0	3 0 0
76.13	21.5	5 -1 6

(7)
Diffraction record for Li3Zn4Ru. The PXRD pattern is computed, not measured: it uses the GGA-PBE geometry in Alexandria and Cu Kα (λ = 1.5418 Å).
Peak positions follow from Bragg's law for the DFT cell and can differ from measured ones.

Crystal structure
a b c (Å): 8.615 6.139 4.308
angles (deg): 90.00 90.00 90.00
Space group Pmma (No. 51)
Symmetry-distinct sites (fractional):
1 Li 0.000 0.000 0.000 x2
2 Li 0.250 0.000 0.499 x2
3 Li 0.250 0.500 0.499 x2
4 Zn 0.000 0.262 0.500 x4
5 Zn 0.250 0.262 0.999 x4
6 Ru 0.000 0.500 0.000 x2

Top 10 peaks for 10 to 90 degrees two-theta, low angle first:
Position (°2θ)	I/Imax	h k l
14.43	32.0	0 1 0
20.62	19.2	2 0 0
25.26	23.3	2 1 0
29.09	11.3	0 2 0
29.32	23.0	2 0 1
41.78	100.0	2 2 1
41.94	50.2	4 0 0
60.82	15.9	4 0 2
76.17	14.9	4 4 0
76.51	30.8	6 2 1

(8)
Diffraction record for Ba3Ge8Pd3. The PXRD pattern is computed, not measured: it uses the GGA-PBE geometry in Alexandria and Cu Kα (λ = 1.5418 Å).
Peak positions follow from Bragg's law for the DFT cell and can differ from measured ones.

Crystal structure
a b c (Å): 17.591 4.313 9.713
angles (deg): 90.00 110.83 90.00
Space group C2/m (No. 12)
Symmetry-distinct sites (fractional):
1 Ba 0.000 0.000 0.000 x2
2 Ba 0.208 0.500 0.677 x4
3 Ge 0.014 0.500 0.676 x4
4 Ge 0.118 0.000 0.410 x4
5 Ge 0.121 0.500 0.261 x4
6 Ge 0.187 0.000 0.937 x4
7 Pd 0.000 0.000 0.500 x2
8 Pd 0.162 0.500 0.041 x4

Top 10 peaks for 10 to 90 degrees two-theta, low angle first:
Position (°2θ)	I/Imax	h k l
26.30	21.5	3 1 0
29.52	28.5	0 0 3
30.38	100.0	1 1 2
31.57	28.6	6 0 -2
32.68	18.4	6 0 0
32.85	30.8	5 1 -1
37.50	24.5	6 0 1
41.90	40.0	0 2 0
44.85	43.0	5 1 -4
51.38	17.4	9 1 -2

(9)
Diffraction record for Na3TbF6. The PXRD pattern is computed, not measured: it uses the GGA-PBE geometry in Alexandria and Cu Kα (λ = 1.5418 Å).
Peak positions follow from Bragg's law for the DFT cell and can differ from measured ones.

Crystal structure
a b c (Å): 7.282 11.161 3.784
angles (deg): 90.00 90.00 90.00
Space group Cmmm (No. 65)
Symmetry-distinct sites (fractional):
1 Na 0.000 0.000 0.000 x2
2 Na 0.250 0.250 0.500 x4
3 Tb 0.000 0.500 0.000 x2
4 F 0.000 0.382 0.500 x4
5 F 0.238 0.120 0.000 x8

Top 10 peaks for 10 to 90 degrees two-theta, low angle first:
Position (°2θ)	I/Imax	h k l
14.52	100.0	1 1 0
15.88	32.3	0 2 0
23.51	19.8	0 0 1
27.75	16.4	1 1 1
28.50	44.0	0 2 1
29.29	39.8	2 2 0
36.03	22.5	1 3 1
37.91	23.3	3 1 0
47.57	44.7	2 4 1
57.31	11.6	2 2 2

(10)
Diffraction record for SmFe2Si2C. The PXRD pattern is computed, not measured: it uses the GGA-PBE geometry in Alexandria and Cu Kα (λ = 1.5418 Å).
Peak positions follow from Bragg's law for the DFT cell and can differ from measured ones.

Crystal structure
a b c (Å): 3.916 3.916 5.224
angles (deg): 90.00 90.00 90.00
Space group P4/mmm (No. 123)
Symmetry-distinct sites (fractional):
1 Sm 0.000 0.000 0.000 x1
2 Fe 0.000 0.500 0.500 x2
3 Si 0.500 0.500 0.233 x2
4 C 0.000 0.000 0.500 x1

Top 10 peaks for 10 to 90 degrees two-theta, low angle first:
Position (°2θ)	I/Imax	h k l
22.71	25.6	1 0 0
28.49	49.1	1 0 1
34.33	21.5	0 0 2
36.74	100.0	1 1 1
41.56	47.0	1 0 2
46.38	40.7	2 0 0
58.96	16.9	2 0 2
63.07	16.5	1 1 3
64.01	25.6	2 1 2
79.56	20.0	3 1 1

(11)
Diffraction record for CrCoW. The PXRD pattern is computed, not measured: it uses the GGA-PBE geometry in Alexandria and Cu Kα (λ = 1.5418 Å).
Peak positions follow from Bragg's law for the DFT cell and can differ from measured ones.

Crystal structure
a b c (Å): 2.613 4.172 7.030
angles (deg): 90.00 93.97 90.00
Space group P2_1/m (No. 11)
Symmetry-distinct sites (fractional):
1 Cr 0.170 0.250 0.072 x2
2 Co 0.048 0.750 0.602 x2
3 W 0.497 0.750 0.278 x2

Top 10 peaks for 10 to 90 degrees two-theta, low angle first:
Position (°2θ)	I/Imax	h k l
24.83	75.2	0 1 1
25.40	36.9	0 0 2
41.72	47.0	1 0 -2
42.13	39.6	1 1 -1
43.38	56.1	0 2 0
43.65	100.0	1 1 1
44.42	85.2	0 1 3
61.75	33.0	1 2 -2
79.80	18.5	1 3 1
80.34	20.3	0 3 3

(12)
Diffraction record for Cu2TeAs. The PXRD pattern is computed, not measured: it uses the GGA-PBE geometry in Alexandria and Cu Kα (λ = 1.5418 Å).
Peak positions follow from Bragg's law for the DFT cell and can differ from measured ones.

Crystal structure
a b c (Å): 3.545 3.681 11.329
angles (deg): 90.00 90.00 90.00
Space group Imm2 (No. 44)
Symmetry-distinct sites (fractional):
1 Cu 0.000 0.000 0.000 x2
2 Cu 0.000 0.500 0.317 x2
3 Te 0.000 0.500 0.698 x2
4 As 0.000 0.000 0.468 x2

Top 10 peaks for 10 to 90 degrees two-theta, low angle first:
Position (°2θ)	I/Imax	h k l
25.44	15.7	0 1 1
26.34	11.8	1 0 1
31.59	17.0	0 0 4
34.01	22.8	0 1 3
34.71	31.4	1 0 3
38.68	100.0	1 1 2
47.10	17.6	0 1 5
49.53	16.6	0 2 0
51.57	14.6	2 0 0
63.20	11.4	1 0 7

What did the ninth record say?
Diffraction record for Na3TbF6. The PXRD pattern is computed, not measured: it uses the GGA-PBE geometry in Alexandria and Cu Kα (λ = 1.5418 Å).
Peak positions follow from Bragg's law for the DFT cell and can differ from measured ones.

Crystal structure
a b c (Å): 7.282 11.161 3.784
angles (deg): 90.00 90.00 90.00
Space group Cmmm (No. 65)
Symmetry-distinct sites (fractional):
1 Na 0.000 0.000 0.000 x2
2 Na 0.250 0.250 0.500 x4
3 Tb 0.000 0.500 0.000 x2
4 F 0.000 0.382 0.500 x4
5 F 0.238 0.120 0.000 x8

Top 10 peaks for 10 to 90 degrees two-theta, low angle first:
Position (°2θ)	I/Imax	h k l
14.52	100.0	1 1 0
15.88	32.3	0 2 0
23.51	19.8	0 0 1
27.75	16.4	1 1 1
28.50	44.0	0 2 1
29.29	39.8	2 2 0
36.03	22.5	1 3 1
37.91	23.3	3 1 0
47.57	44.7	2 4 1
57.31	11.6	2 2 2